Structure and calculated XRD peak list of Tb3YEr (the GGA-PBE geometry in Alexandria; λ = 1.5418 Å (Cu Kα)).
Peak positions follow from Bragg's law for the DFT cell and can differ from measured ones.

Crystal structure
```
10
Lattice="6.291 0.000 0.000 0.000 5.636 0.000 -3.141 0.000 9.082" Properties=species:S:1:pos:R:3 pbc="T T T"
Tb 0.523 1.409 0.906
Tb -0.499 4.227 6.374
Tb 0.532 1.409 4.543
Tb 2.618 4.227 4.539
Tb 3.649 1.409 2.708
Tb 2.626 4.227 8.176
Y -0.535 4.227 2.724
Y 3.685 1.409 6.357
Er 2.614 4.227 0.892
Er 0.536 1.409 8.189
```

Main lines, by angle (2θ from 10° to 80°):
d [Å], I_rel, hkl
3.146, 24, 2 0 -1
2.818, 24, 0 2 0
2.747, 100, 1 1 2
2.099, 15, 2 2 -1
1.816, 20, 0 0 5
1.613, 20, 1 3 2
1.527, 22, 0 2 5
1.515, 16, 4 1 -2
1.373, 4, 2 2 4
1.206, 8, 4 3 -2